Record 1
Cd2Re: theoretical X-ray powder pattern (Cu Kα), based on a PBE-relaxed structure.

Most intense lines, 10° ≤ 2θ ≤ 80°, sorted by position:
2θ (°)	I_rel	index
21.70	110	1 0 0
38.06	1000	1 1 0
39.34	963	0 1 1
44.24	19	2 0 0
55.89	342	2 0 1
59.75	17	2 1 0
67.83	26	0 0 2
68.78	170	3 0 0
69.63	351	1 2 1
72.15	93	1 0 2

Structure:
Lattice parameters (Å, degrees): 4.728 4.728 2.763 90.00 90.00 120.00
Positions (direct):
Cd (0.333, 0.667, 0.406)
Cd (0.667, 0.333, 0.594)
Re (0.000, 0.000, 0.000)



Record 2
Zr2SeI3: theoretical X-ray powder pattern (Cu Kα), based on a PBE-relaxed structure.

Most intense lines, 10° ≤ 2θ ≤ 80°, sorted by position:
2θ (°)	I_rel	index
11.77	718	0 0 2
23.68	182	0 0 4
28.37	322	0 2 2
29.13	1000	1 1 2
31.39	203	0 2 3
32.09	467	1 1 3
40.27	317	1 1 5
45.16	215	1 1 6
45.86	209	1 3 0
47.37	184	2 0 0

Structure:
Lattice parameters (Å, degrees): 3.838 6.928 15.031 90.00 90.00 90.00
Positions (direct):
Zr (0.000, 0.007, 0.000)
Zr (0.000, 0.611, 0.491)
Zr (0.500, 0.389, 0.991)
Zr (0.500, 0.993, 0.500)
Se (0.000, 0.891, 0.613)
Se (0.500, 0.109, 0.113)
I (0.000, 0.224, 0.385)
I (0.000, 0.280, 0.851)
I (0.000, 0.614, 0.103)
I (0.500, 0.386, 0.603)
I (0.500, 0.720, 0.351)
I (0.500, 0.776, 0.885)



Record 3
Dy9Sb5O5: theoretical X-ray powder pattern (Cu Kα), based on a PBE-relaxed structure.

Most intense lines, 10° ≤ 2θ ≤ 80°, sorted by position:
2θ (°)	I_rel	index
28.71	435	1 3 0
30.35	677	0 0 3
30.48	1000	1 3 1
35.31	915	1 3 2
41.06	622	4 2 0
42.27	186	1 3 3
50.70	196	1 3 4
51.91	529	4 2 3
60.25	252	1 3 5
68.26	334	2 6 3

Structure:
Lattice parameters (Å, degrees): 9.830 9.830 8.835 90.00 90.00 90.00
Positions (direct):
Dy (0.024, 0.167, 0.002)
Dy (0.045, 0.646, 0.657)
Dy (0.146, 0.955, 0.343)
Dy (0.167, 0.476, 0.002)
Dy (0.250, 0.250, 0.671)
Dy (0.333, 0.024, 0.002)
Dy (0.354, 0.545, 0.343)
Dy (0.455, 0.854, 0.657)
Dy (0.476, 0.333, 0.002)
Dy (0.524, 0.667, 0.998)
Dy (0.545, 0.146, 0.343)
Dy (0.646, 0.455, 0.657)
Dy (0.667, 0.976, 0.998)
Dy (0.750, 0.750, 0.329)
Dy (0.833, 0.524, 0.998)
Dy (0.854, 0.045, 0.657)
Dy (0.955, 0.354, 0.343)
Dy (0.976, 0.833, 0.998)
Sb (0.055, 0.654, 0.302)
Sb (0.154, 0.945, 0.698)
Sb (0.250, 0.250, 0.318)
Sb (0.346, 0.555, 0.698)
Sb (0.445, 0.846, 0.302)
Sb (0.555, 0.154, 0.698)
Sb (0.654, 0.445, 0.302)
Sb (0.750, 0.750, 0.682)
Sb (0.846, 0.055, 0.302)
Sb (0.945, 0.346, 0.698)
O (0.026, 0.630, 0.913)
O (0.130, 0.974, 0.087)
O (0.250, 0.250, 0.936)
O (0.370, 0.526, 0.087)
O (0.474, 0.870, 0.913)
O (0.526, 0.130, 0.087)
O (0.630, 0.474, 0.913)
O (0.750, 0.750, 0.064)
O (0.870, 0.026, 0.913)
O (0.974, 0.370, 0.087)



Record 4
TaBeHgIr: theoretical X-ray powder pattern (Cu Kα), based on a PBE-relaxed structure.

Most intense lines, 10° ≤ 2θ ≤ 80°, sorted by position:
2θ (°)	I_rel	index
24.45	250	1 1 1
28.30	131	2 0 0
40.45	1000	2 2 0
47.84	129	3 1 1
50.11	38	2 2 2
58.54	171	4 0 0
64.39	53	3 3 1
66.28	49	4 2 0
73.58	353	4 2 2
78.87	40	5 1 1

Structure:
Lattice parameters (Å, degrees): 6.307 6.307 6.307 90.00 90.00 90.00
Positions (direct):
Ta (0.000, 0.000, 0.000)
Ta (0.000, 0.500, 0.500)
Ta (0.500, 0.000, 0.500)
Ta (0.500, 0.500, 0.000)
Be (0.250, 0.250, 0.750)
Be (0.250, 0.750, 0.250)
Be (0.750, 0.250, 0.250)
Be (0.750, 0.750, 0.750)
Hg (0.000, 0.000, 0.500)
Hg (0.000, 0.500, 0.000)
Hg (0.500, 0.000, 0.000)
Hg (0.500, 0.500, 0.500)
Ir (0.250, 0.250, 0.250)
Ir (0.250, 0.750, 0.750)
Ir (0.750, 0.250, 0.750)
Ir (0.750, 0.750, 0.250)



Please write out number 2 again, unchanged.
Zr2SeI3: theoretical X-ray powder pattern (Cu Kα), based on a PBE-relaxed structure.

Most intense lines, 10° ≤ 2θ ≤ 80°, sorted by position:
2θ (°)	I_rel	index
11.77	718	0 0 2
23.68	182	0 0 4
28.37	322	0 2 2
29.13	1000	1 1 2
31.39	203	0 2 3
32.09	467	1 1 3
40.27	317	1 1 5
45.16	215	1 1 6
45.86	209	1 3 0
47.37	184	2 0 0

Structure:
Lattice parameters (Å, degrees): 3.838 6.928 15.031 90.00 90.00 90.00
Positions (direct):
Zr (0.000, 0.007, 0.000)
Zr (0.000, 0.611, 0.491)
Zr (0.500, 0.389, 0.991)
Zr (0.500, 0.993, 0.500)
Se (0.000, 0.891, 0.613)
Se (0.500, 0.109, 0.113)
I (0.000, 0.224, 0.385)
I (0.000, 0.280, 0.851)
I (0.000, 0.614, 0.103)
I (0.500, 0.386, 0.603)
I (0.500, 0.720, 0.351)
I (0.500, 0.776, 0.885)